# 1
Diffraction record for DyScHg6. The powder X-ray diffraction pattern is theoretical, not measured: it uses a crystal structure in OQMD, relaxed with PBE and Cu Kα (λ = 1.5418 Å).
Neutral-atom scattering factors, no anomalous dispersion.

Peak list (10 most intense, 10 to 80 degrees two-theta, in order of rising 2θ)
- (1 0 1), 2θ 23.9, 3.727 Å, rel. 7
- (2 0 0), 2θ 31.6, 2.828 Å, rel. 25
- (0 0 2), 2θ 36.3, 2.477 Å, rel. 23
- (2 0 1), 2θ 36.6, 2.456 Å, rel. 100
- (2 0 2), 2θ 48.9, 1.864 Å, rel. 15
- (2 2 0), 2θ 56.3, 1.633 Å, rel. 19
- (2 0 3), 2θ 65.4, 1.426 Å, rel. 19
- (2 2 2), 2θ 68.9, 1.363 Å, rel. 21
- (4 0 1), 2θ 69.1, 1.360 Å, rel. 16
- (4 0 2), 2θ 77.8, 1.228 Å, rel. 4

Atomic structure:
a = 6.5321 Å, b = 6.5321 Å, c = 4.9548 Å
α = 90.00°, β = 90.00°, γ = 120.00°
Space group P-6m2 (No. 187)
Unique sites:
Dy 0.0000 0.0000 0.0000 [1 per cell]
Sc 0.3333 0.6667 0.5000 [1 per cell]
Hg 0.0084 0.5042 0.0000 [3 per cell]
Hg 0.3353 0.1677 0.5000 [3 per cell]

=====

# 2
Diffraction record for SmDyHg6. The powder X-ray diffraction pattern is theoretical, not measured: it uses a crystal structure in OQMD, relaxed with PBE and Cu Kα (λ = 1.5418 Å).
Neutral-atom scattering factors, no anomalous dispersion.

Peak list (10 most intense, 10 to 80 degrees two-theta, in order of rising 2θ)
- (1 0 0), 2θ 15.4, 5.767 Å, rel. 1
- (1 0 1), 2θ 23.6, 3.777 Å, rel. 1
- (2 0 0), 2θ 31.0, 2.884 Å, rel. 20
- (0 0 2), 2θ 36.0, 2.498 Å, rel. 100
- (2 1 1), 2θ 45.4, 1.998 Å, rel. 1
- (2 0 2), 2θ 48.2, 1.888 Å, rel. 12
- (2 2 0), 2θ 55.2, 1.665 Å, rel. 16
- (2 0 3), 2θ 64.6, 1.442 Å, rel. 18
- (2 2 2), 2θ 67.6, 1.385 Å, rel. 31
- (0 0 4), 2θ 76.2, 1.249 Å, rel. 5

Atomic structure:
a = 6.6597 Å, b = 6.6597 Å, c = 4.9975 Å
α = 90.00°, β = 90.00°, γ = 120.00°
Space group P-6m2 (No. 187)
Unique sites:
Sm 0.0000 0.0000 0.0000 [1 per cell]
Dy 0.6667 0.3333 0.5000 [1 per cell]
Hg 0.1697 0.3393 0.5000 [3 per cell]
Hg 0.5006 0.0011 0.0000 [3 per cell]

=====

# 3
Diffraction record for SrDyHg6. The powder X-ray diffraction pattern is theoretical, not measured: it uses a crystal structure in OQMD, relaxed with PBE and Cu Kα (λ = 1.5418 Å).
Neutral-atom scattering factors, no anomalous dispersion.

Peak list (10 most intense, 10 to 80 degrees two-theta, in order of rising 2θ)
- (1 0 0), 2θ 15.3, 5.788 Å, rel. 4
- (2 0 0), 2θ 30.9, 2.894 Å, rel. 24
- (0 0 2), 2θ 35.3, 2.544 Å, rel. 23
- (2 0 1), 2θ 35.7, 2.515 Å, rel. 100
- (2 0 2), 2θ 47.6, 1.911 Å, rel. 15
- (2 2 0), 2θ 55.0, 1.671 Å, rel. 19
- (2 0 3), 2θ 63.6, 1.463 Å, rel. 19
- (2 2 2), 2θ 67.0, 1.397 Å, rel. 22
- (4 0 1), 2θ 67.3, 1.392 Å, rel. 16
- (4 0 2), 2θ 75.6, 1.258 Å, rel. 4

Atomic structure:
a = 6.6829 Å, b = 6.6829 Å, c = 5.0884 Å
α = 90.00°, β = 90.00°, γ = 120.00°
Space group P-6m2 (No. 187)
Unique sites:
Sr 0.0000 0.0000 0.0000 [1 per cell]
Dy 0.6667 0.3333 0.5000 [1 per cell]
Hg 0.1738 0.3476 0.5000 [3 per cell]
Hg 0.5007 0.0013 0.0000 [3 per cell]

=====

# 4
Diffraction record for Dy2Tm3Hg3. The powder X-ray diffraction pattern is theoretical, not measured: it uses a crystal structure in OQMD, relaxed with PBE and Cu Kα (λ = 1.5418 Å).
Neutral-atom scattering factors, no anomalous dispersion.

Peak list (10 most intense, 10 to 80 degrees two-theta, in order of rising 2θ)
- (2 0 0), 2θ 29.7, 3.005 Å, rel. 25
- (2 0 1), 2θ 34.6, 2.592 Å, rel. 100
- (0 0 2), 2θ 35.0, 2.561 Å, rel. 22
- (2 0 2), 2θ 46.6, 1.949 Å, rel. 15
- (2 2 0), 2θ 52.8, 1.735 Å, rel. 20
- (4 0 0), 2θ 61.7, 1.503 Å, rel. 3
- (2 0 3), 2θ 62.6, 1.485 Å, rel. 18
- (4 0 1), 2θ 64.6, 1.442 Å, rel. 16
- (2 2 2), 2θ 64.9, 1.436 Å, rel. 22
- (4 0 2), 2θ 73.0, 1.296 Å, rel. 4

Atomic structure:
a = 6.9403 Å, b = 6.9403 Å, c = 5.1223 Å
α = 90.00°, β = 90.00°, γ = 120.00°
Space group P-6m2 (No. 187)
Unique sites:
Dy 0.0000 0.0000 0.0000 [1 per cell]
Dy 0.3333 0.6667 0.5000 [1 per cell]
Tm 0.3418 0.1709 0.5000 [3 per cell]
Hg 0.5038 0.0075 0.0000 [3 per cell]

=====

# 5
Diffraction record for Dy2Tm3Hg3. The powder X-ray diffraction pattern is theoretical, not measured: it uses a crystal structure in OQMD, relaxed with PBE and Cu Kα (λ = 1.5418 Å).
Neutral-atom scattering factors, no anomalous dispersion.

Peak list (10 most intense, 10 to 80 degrees two-theta, in order of rising 2θ)
- (0 2 2), 2θ 29.6, 3.017 Å, rel. 24
- (2 0 0), 2θ 32.4, 2.764 Å, rel. 42
- (1 2 2), 2θ 33.9, 2.648 Å, rel. 100
- (1 0 4), 2θ 38.0, 2.369 Å, rel. 37
- (2 2 2), 2θ 44.5, 2.038 Å, rel. 16
- (3 2 2), 2θ 58.7, 1.573 Å, rel. 21
- (2 4 0), 2θ 60.4, 1.534 Å, rel. 16
- (3 0 4), 2θ 61.5, 1.508 Å, rel. 12
- (1 4 4), 2θ 64.0, 1.455 Å, rel. 12
- (2 2 6), 2θ 68.4, 1.371 Å, rel. 14

Atomic structure:
a = 5.5286 Å, b = 7.3753 Å, c = 10.4884 Å
α = 90.00°, β = 90.00°, γ = 90.00°
Space group Amm2 (No. 38)
Unique sites:
Dy 0.0000 0.0000 0.0000 [2 per cell]
Dy 0.5000 0.0000 0.3582 [2 per cell]
Tm 0.0000 0.0000 0.5558 [2 per cell]
Tm 0.5000 0.2416 0.6132 [4 per cell]
Hg 0.0000 0.2102 0.2750 [4 per cell]
Hg 0.5000 0.0000 0.8605 [2 per cell]

=====

# 6
Diffraction record for Dy7Ho. The powder X-ray diffraction pattern is theoretical, not measured: it uses a crystal structure in OQMD, relaxed with PBE and Cu Kα (λ = 1.5418 Å).
Neutral-atom scattering factors, no anomalous dispersion.

Peak list (10 most intense, 10 to 80 degrees two-theta, in order of rising 2θ)
- (2 0 0), 2θ 28.6, 3.117 Å, rel. 24
- (0 0 2), 2θ 31.9, 2.804 Å, rel. 24
- (2 0 1), 2θ 32.9, 2.724 Å, rel. 100
- (2 0 2), 2θ 43.4, 2.085 Å, rel. 16
- (2 2 0), 2θ 50.7, 1.800 Å, rel. 20
- (2 0 3), 2θ 57.5, 1.603 Å, rel. 20
- (2 2 2), 2θ 61.2, 1.515 Å, rel. 23
- (4 0 1), 2θ 61.8, 1.502 Å, rel. 16
- (4 0 2), 2θ 68.9, 1.362 Å, rel. 4
- (2 0 4), 2θ 74.2, 1.279 Å, rel. 3

Atomic structure:
a = 7.1984 Å, b = 7.1984 Å, c = 5.6080 Å
α = 90.00°, β = 90.00°, γ = 120.00°
Space group P-6m2 (No. 187)
Unique sites:
Dy 0.0000 0.0000 0.0000 [1 per cell]
Dy 0.0011 0.5005 0.0000 [3 per cell]
Dy 0.1671 0.3343 0.5000 [3 per cell]
Ho 0.6667 0.3333 0.5000 [1 per cell]

=====

# 7
Diffraction record for Dy3Ho5. The powder X-ray diffraction pattern is theoretical, not measured: it uses a crystal structure in OQMD, relaxed with PBE and Cu Kα (λ = 1.5418 Å).
Neutral-atom scattering factors, no anomalous dispersion.

Peak list (10 most intense, 10 to 80 degrees two-theta, in order of rising 2θ)
- (2 0 0), 2θ 28.7, 3.112 Å, rel. 24
- (0 0 2), 2θ 32.0, 2.797 Å, rel. 24
- (2 0 1), 2θ 32.9, 2.719 Å, rel. 100
- (2 0 2), 2θ 43.5, 2.080 Å, rel. 16
- (2 2 0), 2θ 50.8, 1.797 Å, rel. 20
- (2 0 3), 2θ 57.6, 1.599 Å, rel. 20
- (2 2 2), 2θ 61.3, 1.512 Å, rel. 23
- (4 0 1), 2θ 61.9, 1.499 Å, rel. 16
- (4 0 2), 2θ 69.1, 1.360 Å, rel. 4
- (2 0 4), 2θ 74.4, 1.275 Å, rel. 3

Atomic structure:
a = 7.1870 Å, b = 7.1870 Å, c = 5.5933 Å
α = 90.00°, β = 90.00°, γ = 120.00°
Space group P-6m2 (No. 187)
Unique sites:
Dy 0.0001 0.5001 0.0000 [3 per cell]
Ho 0.0000 0.0000 0.0000 [1 per cell]
Ho 0.3333 0.6667 0.5000 [1 per cell]
Ho 0.3336 0.1668 0.5000 [3 per cell]

=====

# 8
Diffraction record for DyHo7. The powder X-ray diffraction pattern is theoretical, not measured: it uses a crystal structure in OQMD, relaxed with PBE and Cu Kα (λ = 1.5418 Å).
Neutral-atom scattering factors, no anomalous dispersion.

Peak list (10 most intense, 10 to 80 degrees two-theta, in order of rising 2θ)
- (2 0 0), 2θ 28.7, 3.109 Å, rel. 24
- (0 0 2), 2θ 32.1, 2.793 Å, rel. 24
- (2 0 1), 2θ 33.0, 2.717 Å, rel. 100
- (2 0 2), 2θ 43.6, 2.078 Å, rel. 16
- (2 2 0), 2θ 50.9, 1.795 Å, rel. 20
- (2 0 3), 2θ 57.7, 1.597 Å, rel. 20
- (2 2 2), 2θ 61.4, 1.510 Å, rel. 23
- (4 0 1), 2θ 62.0, 1.498 Å, rel. 16
- (4 0 2), 2θ 69.2, 1.358 Å, rel. 4
- (2 0 4), 2θ 74.5, 1.274 Å, rel. 3

Atomic structure:
a = 7.1808 Å, b = 7.1808 Å, c = 5.5852 Å
α = 90.00°, β = 90.00°, γ = 120.00°
Space group P-6m2 (No. 187)
Unique sites:
Dy 0.0000 0.0000 0.0000 [1 per cell]
Ho 0.0017 0.5008 0.0000 [3 per cell]
Ho 0.1675 0.3350 0.5000 [3 per cell]
Ho 0.6667 0.3333 0.5000 [1 per cell]